Structure and simulated powder diffractogram of La5HoSc2 (a cell relaxed with GGA-PBE; λ = 1.5418 Å (Cu Kα)).

Largest 10 diffraction maxima, sorted by position, 10° ≤ 2θ ≤ 90°:
two_theta, Rel. int., (hkl)
18.70, 35, 1 1 1
28.10, 100, 1 1 4
29.88, 81, 1 3 2
31.96, 40, 0 4 2
32.29, 81, 1 3 3
32.52, 73, 1 1 5
32.89, 70, 2 0 0
46.51, 28, 2 4 2
56.69, 20, 1 7 0
57.48, 26, 1 5 7

Unit cell a=5.447 b=11.904 c=16.551 alpha=90.00 beta=90.00 gamma=90.00
Space group Cmcm (No. 63)
Unique sites:
La 0.000 0.019 0.250
La 0.000 0.146 0.537
La 0.000 0.455 0.602
Ho 0.000 0.258 0.750
Sc 0.000 0.269 0.151


Structure and simulated powder diffractogram of CsK3Tl3 (a cell relaxed with GGA-PBE; λ = 1.5418 Å (Cu Kα)).

Largest 10 diffraction maxima, sorted by position, 10° ≤ 2θ ≤ 90°:
two_theta, Rel. int., (hkl)
18.17, 40, 0 0 6
25.41, 59, 0 2 4
27.03, 70, 2 0 5
27.40, 47, 0 0 9
29.77, 100, 2 1 1
30.24, 88, 1 2 2
30.96, 38, 0 2 7
32.08, 51, 2 1 4
36.78, 44, 0 0 12
38.53, 41, 3 0 6

Unit cell a=9.2175 b=9.2175 c=29.3007 alpha=90.00 beta=90.00 gamma=120.00
Space group R-3m (No. 166, hexagonal axes)
Unique sites:
Cs 0.0000 0.0000 0.0760
K 0.9999 0.5000 0.1013
Tl 0.0984 0.5492 0.3337